No. 1
Theoretical powder X-ray diffraction pattern of Tb2PmSc for Cu Kα (λ = 1.5418 Å), from a DFT-relaxed cell (GGA-PBE, Alexandria).

Cell and atoms:
abc: 7.9049 7.9049 7.9049
angles: 90.00 90.00 90.00
Element x y z (fractional)
Tb1 0.2500 0.2500 0.2500
Tb2 0.2500 0.2500 0.7500
Tb3 0.2500 0.7500 0.2500
Tb4 0.2500 0.7500 0.7500
Tb5 0.7500 0.2500 0.2500
Tb6 0.7500 0.2500 0.7500
Tb7 0.7500 0.7500 0.2500
Tb8 0.7500 0.7500 0.7500
Pm1 0.0000 0.0000 0.0000
Pm2 0.0000 0.5000 0.5000
Pm3 0.5000 0.0000 0.5000
Pm4 0.5000 0.5000 0.0000
Sc1 0.0000 0.0000 0.5000
Sc2 0.0000 0.5000 0.0000
Sc3 0.5000 0.0000 0.0000
Sc4 0.5000 0.5000 0.5000

Principal peaks in the range 15° ≤ 2θ ≤ 90°, sorted by position:
2theta, intensity
19.45, 9
22.50, 7
32.02, 100
37.74, 5
45.92, 18
57.08, 38
66.96, 12
76.16, 16


No. 2
Theoretical powder X-ray diffraction pattern of Tb4Pm4Sc for Cu Kα (λ = 1.5418 Å), from a DFT-relaxed cell (GGA-PBE, Alexandria).

Cell and atoms:
abc: 7.9841 7.9841 7.9841
angles: 95.74 95.74 143.14
Element x y z (fractional)
Tb1 0.1640 0.1640 0.3279
Tb2 0.1640 0.8360 0.0000
Tb3 0.8360 0.1640 0.0000
Tb4 0.8360 0.8360 0.6721
Pm1 0.1704 0.5000 0.6704
Pm2 0.5000 0.1704 0.6704
Pm3 0.5000 0.8296 0.3296
Pm4 0.8296 0.5000 0.3296
Sc1 0.5000 0.5000 0.0000

Principal peaks in the range 15° ≤ 2θ ≤ 90°, sorted by position:
2theta, intensity
30.67, 100
35.56, 50
51.17, 36
60.85, 42
63.86, 12
75.28, 6
83.44, 17
86.13, 16


No. 3
Theoretical powder X-ray diffraction pattern of Tb12Pm5Sc2 for Cu Kα (λ = 1.5418 Å), from a DFT-relaxed cell (GGA-PBE, Alexandria).

Cell and atoms:
abc: 11.5782 11.5782 8.6439
angles: 110.26 110.26 35.09
Element x y z (fractional)
Tb1 0.0441 0.5509 0.7071
Tb2 0.0487 0.0487 0.1949
Tb3 0.1381 0.6538 0.1227
Tb4 0.3462 0.8619 0.8773
Tb5 0.3628 0.3628 0.4514
Tb6 0.4491 0.9559 0.2929
Tb7 0.5509 0.0441 0.7071
Tb8 0.6372 0.6372 0.5486
Tb9 0.6538 0.1381 0.1227
Tb10 0.8619 0.3462 0.8773
Tb11 0.9513 0.9513 0.8051
Tb12 0.9559 0.4491 0.2929
Pm1 0.1479 0.1479 0.5908
Pm2 0.2518 0.2518 0.0100
Pm3 0.5000 0.5000 0.0000
Pm4 0.7482 0.7482 0.9900
Pm5 0.8521 0.8521 0.4092
Sc1 0.2370 0.7630 0.5000
Sc2 0.7630 0.2370 0.5000

Principal peaks in the range 15° ≤ 2θ ≤ 90°, sorted by position:
2theta, intensity
30.68, 100
31.23, 33
31.87, 34
33.87, 37
37.15, 44
50.71, 15
51.57, 17
58.61, 19


No. 4
Theoretical powder X-ray diffraction pattern of Tb7Pm12Sc for Cu Kα (λ = 1.5418 Å), from a DFT-relaxed cell (GGA-PBE, Alexandria).

Cell and atoms:
abc: 11.4823 11.4823 11.4823
angles: 116.85 116.85 116.85
Element x y z (fractional)
Tb1 0.0000 0.0000 0.0000
Tb2 0.1380 0.3800 0.3800
Tb3 0.3800 0.1380 0.3800
Tb4 0.3800 0.3800 0.1380
Tb5 0.6200 0.6200 0.8620
Tb6 0.6200 0.8620 0.6200
Tb7 0.8620 0.6200 0.6200
Pm1 0.0000 0.4129 0.5871
Pm2 0.0000 0.5871 0.4129
Pm3 0.0807 0.0807 0.4340
Pm4 0.0807 0.4340 0.0807
Pm5 0.4129 0.0000 0.5871
Pm6 0.4129 0.5871 0.0000
Pm7 0.4340 0.0807 0.0807
Pm8 0.5660 0.9193 0.9193
Pm9 0.5871 0.0000 0.4129
Pm10 0.5871 0.4129 0.0000
Pm11 0.9193 0.5660 0.9193
Pm12 0.9193 0.9193 0.5660
Sc1 0.5000 0.5000 0.5000

Principal peaks in the range 15° ≤ 2θ ≤ 90°, sorted by position:
2theta, intensity
27.35, 29
29.35, 26
30.07, 100
30.77, 33
32.80, 35
33.02, 32
39.44, 31
40.00, 23


No. 5
Theoretical powder X-ray diffraction pattern of Tb2PmSc for Cu Kα (λ = 1.5418 Å), from a DFT-relaxed cell (GGA-PBE, Alexandria).

Cell and atoms:
abc: 6.0848 6.9911 7.0023
angles: 60.10 73.38 89.93
Element x y z (fractional)
Tb1 0.2501 0.1232 0.2501
Tb2 0.2505 0.6280 0.2496
Tb3 0.7495 0.3720 0.7504
Tb4 0.7499 0.8768 0.7499
Pm1 0.2552 0.6258 0.7481
Pm2 0.7448 0.3742 0.2519
Sc1 0.2418 0.1223 0.7553
Sc2 0.7582 0.8777 0.2447

Principal peaks in the range 15° ≤ 2θ ≤ 90°, sorted by position:
2theta, intensity
31.17, 100
31.32, 99
36.23, 100
52.14, 23
52.23, 23
61.90, 21
62.01, 14
62.16, 41


No. 6
Theoretical powder X-ray diffraction pattern of Tb14PmSc for Cu Kα (λ = 1.5418 Å), from a DFT-relaxed cell (GGA-PBE, Alexandria).

Cell and atoms:
abc: 7.1026 7.1026 10.0141
angles: 90.00 90.00 90.00
Element x y z (fractional)
Tb1 0.0000 0.0000 0.0000
Tb2 0.0000 0.5000 0.0000
Tb3 0.0000 0.5000 0.5000
Tb4 0.2477 0.2477 0.2519
Tb5 0.2477 0.2477 0.7481
Tb6 0.2477 0.7523 0.2519
Tb7 0.2477 0.7523 0.7481
Tb8 0.5000 0.0000 0.0000
Tb9 0.5000 0.0000 0.5000
Tb10 0.5000 0.5000 0.0000
Tb11 0.7523 0.2477 0.2519
Tb12 0.7523 0.2477 0.7481
Tb13 0.7523 0.7523 0.2519
Tb14 0.7523 0.7523 0.7481
Pm1 0.5000 0.5000 0.5000
Sc1 0.0000 0.0000 0.5000

Principal peaks in the range 15° ≤ 2θ ≤ 90°, sorted by position:
2theta, intensity
30.87, 100
35.76, 34
35.87, 17
51.52, 36
61.23, 28
61.38, 14
64.32, 12
84.14, 12


No. 7
Theoretical powder X-ray diffraction pattern of Tb2PmSc5 for Cu Kα (λ = 1.5418 Å), from a DFT-relaxed cell (GGA-PBE, Alexandria).

Cell and atoms:
abc: 8.0352 6.8806 6.3903
angles: 74.42 55.57 50.00
Element x y z (fractional)
Tb1 0.2441 0.7559 0.2441
Tb2 0.7559 0.2441 0.7559
Pm1 0.3307 0.3307 0.6693
Sc1 0.2459 0.2459 0.2541
Sc2 0.3370 0.8333 0.6630
Sc3 0.7459 0.7459 0.7541
Sc4 0.8285 0.8285 0.1715
Sc5 0.8333 0.3370 0.1667

Principal peaks in the range 15° ≤ 2θ ≤ 90°, sorted by position:
2theta, intensity
22.24, 24
30.00, 26
33.26, 24
34.41, 100
45.40, 16
53.28, 21
60.17, 19
64.27, 20


No. 8
Theoretical powder X-ray diffraction pattern of TbPm7Sc2 for Cu Kα (λ = 1.5418 Å), from a DFT-relaxed cell (GGA-PBE, Alexandria).

Cell and atoms:
abc: 3.5289 8.5936 11.4697
angles: 108.77 90.05 101.83
Element x y z (fractional)
Tb1 0.0000 0.0000 0.0000
Pm1 0.0000 0.0000 0.5000
Pm2 0.1084 0.2166 0.8034
Pm3 0.2874 0.5742 0.3753
Pm4 0.4127 0.8248 0.7110
Pm5 0.5873 0.1752 0.2890
Pm6 0.7126 0.4258 0.6247
Pm7 0.8916 0.7834 0.1966
Sc1 0.3073 0.6166 0.9267
Sc2 0.6927 0.3834 0.0733

Principal peaks in the range 15° ≤ 2θ ≤ 90°, sorted by position:
2theta, intensity
30.04, 87
31.19, 100
31.76, 66
31.91, 56
32.03, 85
32.39, 93
33.03, 40
37.35, 48


No. 9
Theoretical powder X-ray diffraction pattern of TbPm2Sc4 for Cu Kα (λ = 1.5418 Å), from a DFT-relaxed cell (GGA-PBE, Alexandria).

Cell and atoms:
abc: 6.5079 8.4857 8.5008
angles: 79.29 67.55 67.47
Element x y z (fractional)
Tb1 0.0000 0.0000 0.0000
Tb2 0.4456 0.0804 0.0280
Pm1 0.0046 0.5270 0.4700
Pm2 0.0905 0.0397 0.5134
Pm3 0.0986 0.5403 0.0142
Pm4 0.4472 0.5531 0.5582
Sc1 0.4150 0.1790 0.6559
Sc2 0.4367 0.7911 0.7643
Sc3 0.4379 0.2895 0.2636
Sc4 0.4712 0.6866 0.1590
Sc5 0.6954 0.9008 0.3717
Sc6 0.7624 0.3935 0.8688
Sc7 0.8643 0.7883 0.7688
Sc8 0.8672 0.2924 0.2590

Principal peaks in the range 15° ≤ 2θ ≤ 90°, sorted by position:
2theta, intensity
15.68, 30
22.69, 99
31.70, 46
31.96, 100
32.09, 59
33.06, 64
35.87, 77
46.44, 38


No. 10
Theoretical powder X-ray diffraction pattern of Tb5Pm8Sc for Cu Kα (λ = 1.5418 Å), from a DFT-relaxed cell (GGA-PBE, Alexandria).

Cell and atoms:
abc: 8.5122 8.5122 8.5122
angles: 110.85 110.85 106.74
Element x y z (fractional)
Tb1 0.0000 0.0000 0.0000
Tb2 0.3196 0.2180 0.6898
Tb3 0.3703 0.6804 0.8984
Tb4 0.5281 0.6297 0.3102
Tb5 0.7820 0.4719 0.1016
Pm1 0.0245 0.7641 0.6044
Pm2 0.0597 0.3306 0.8991
Pm3 0.1596 0.4200 0.3956
Pm4 0.2359 0.8404 0.2604
Pm5 0.4315 0.1605 0.1009
Pm6 0.5800 0.9755 0.7396
Pm7 0.6694 0.5685 0.7290
Pm8 0.8395 0.9403 0.2710
Sc1 0.7500 0.2500 0.5000

Principal peaks in the range 15° ≤ 2θ ≤ 90°, sorted by position:
2theta, intensity
27.92, 47
29.09, 56
29.23, 74
31.57, 25
33.63, 100
34.25, 34
34.62, 41
54.70, 26


No. 11
Theoretical powder X-ray diffraction pattern of Tb8Pm3Sc for Cu Kα (λ = 1.5418 Å), from a DFT-relaxed cell (GGA-PBE, Alexandria).

Cell and atoms:
abc: 8.3639 8.3639 8.3639
angles: 117.34 117.34 94.67
Element x y z (fractional)
Tb1 0.1140 0.1140 0.7479
Tb2 0.2102 0.2102 0.4691
Tb3 0.2589 0.7898 0.0000
Tb4 0.3661 0.3661 0.2521
Tb5 0.6339 0.8860 0.0000
Tb6 0.7411 0.7411 0.5309
Tb7 0.7898 0.2589 0.0000
Tb8 0.8860 0.6339 0.0000
Pm1 0.2500 0.7500 0.5000
Pm2 0.5000 0.5000 0.0000
Pm3 0.7500 0.2500 0.5000
Sc1 0.0000 0.0000 0.0000

Principal peaks in the range 15° ≤ 2θ ≤ 90°, sorted by position:
2theta, intensity
24.19, 90
25.82, 85
29.04, 81
31.57, 71
33.08, 74
36.30, 100
43.42, 45
44.62, 61


No. 12
Theoretical powder X-ray diffraction pattern of Tb2Pm9Sc for Cu Kα (λ = 1.5418 Å), from a DFT-relaxed cell (GGA-PBE, Alexandria).

Cell and atoms:
abc: 5.0954 5.0954 15.2871
angles: 90.00 90.00 90.00
Element x y z (fractional)
Tb1 0.0000 0.0000 0.1691
Tb2 0.0000 0.0000 0.8309
Pm1 0.0000 0.5000 0.0000
Pm2 0.0000 0.5000 0.3378
Pm3 0.0000 0.5000 0.6622
Pm4 0.5000 0.0000 0.0000
Pm5 0.5000 0.0000 0.3378
Pm6 0.5000 0.0000 0.6622
Pm7 0.5000 0.5000 0.1690
Pm8 0.5000 0.5000 0.5000
Pm9 0.5000 0.5000 0.8310
Sc1 0.0000 0.0000 0.5000

Principal peaks in the range 15° ≤ 2θ ≤ 90°, sorted by position:
2theta, intensity
30.38, 100
35.23, 51
50.67, 36
60.24, 42
63.21, 12
74.48, 6
82.52, 17
85.16, 16


No. 13
Theoretical powder X-ray diffraction pattern of Tb3Pm5Sc2 for Cu Kα (λ = 1.5418 Å), from a DFT-relaxed cell (GGA-PBE, Alexandria).

Cell and atoms:
abc: 9.3677 9.3698 9.3814
angles: 106.54 106.83 115.12
Element x y z (fractional)
Tb1 0.0775 0.2285 0.0529
Tb2 0.2759 0.8219 0.8482
Tb3 0.3231 0.9732 0.5529
Tb4 0.6769 0.0268 0.4471
Tb5 0.7241 0.1781 0.1518
Tb6 0.9225 0.7715 0.9471
Pm1 0.0217 0.0747 0.3455
Pm2 0.1297 0.3796 0.7508
Pm3 0.2285 0.6767 0.1543
Pm4 0.3786 0.1276 0.2489
Pm5 0.4738 0.4278 0.6524
Pm6 0.5262 0.5722 0.3476
Pm7 0.6214 0.8724 0.7511
Pm8 0.7715 0.3233 0.8457
Pm9 0.8703 0.6204 0.2492
Pm10 0.9783 0.9253 0.6545
Sc1 0.1690 0.5234 0.4504
Sc2 0.4260 0.2769 0.9493
Sc3 0.5740 0.7231 0.0507
Sc4 0.8310 0.4766 0.5496

Principal peaks in the range 15° ≤ 2θ ≤ 90°, sorted by position:
2theta, intensity
19.81, 7
30.90, 100
35.73, 17
35.88, 33
51.53, 29
61.21, 14
61.33, 14
61.48, 14